Diffraction record for Ac3Sc. The powder XRD pattern is simulated, not measured: it uses a crystal structure in Alexandria, relaxed with PBE and Cu Kα (weighted mean of Kα1 and Kα2).
Peak positions follow from Bragg's law for the DFT cell and can differ from measured ones.

Top 6 peaks for 10° ≤ 2θ ≤ 80°, low angle first:
| 2θ (°) | I/Imax | hkl |
| --- | --- | --- |
| 19.6 | 21 | 1 0 1 |
| 26.6 | 23 | 2 0 0 |
| 29.2 | 25 | 0 0 2 |
| 30.4 | 100 | 2 0 1 |
| 52.5 | 22 | 2 0 3 |
| 56.2 | 24 | 2 2 2 |

Cell and atoms:
```
data_Ac3Sc
_space_group_name_H-M_alt 'P 63/m m c'
_space_group_IT_number 194
_space_group_name_Hall '-P 6c 2c'
_cell_length_a 7.7455
_cell_length_b 7.7455
_cell_length_c 6.1159
_cell_angle_alpha 90.00
_cell_angle_beta 90.00
_cell_angle_gamma 120.00
loop_
_atom_site_label
_atom_site_type_symbol
_atom_site_fract_x
_atom_site_fract_y
_atom_site_fract_z
Ac1 Ac 0.1721 0.3442 0.2500
Sc1 Sc 0.3333 0.6667 0.7500
```



Diffraction record for Fe6NiPt2. The powder XRD pattern is simulated, not measured: it uses a crystal structure in Alexandria, relaxed with PBE and Cu Kα (weighted mean of Kα1 and Kα2).
Peak positions follow from Bragg's law for the DFT cell and can differ from measured ones.

Top 6 peaks for 10° ≤ 2θ ≤ 80°, low angle first:
| 2θ (°) | I/Imax | hkl |
| --- | --- | --- |
| 25.0 | 50 | 3 1 0 |
| 41.8 | 53 | 3 1 -1 |
| 42.8 | 54 | 0 2 1 |
| 42.9 | 100 | 3 3 0 |
| 44.6 | 45 | 6 0 0 |
| 44.9 | 44 | 3 1 1 |

Cell and atoms:
```
data_Fe6NiPt2
_space_group_name_H-M_alt 'C 1 m 1'
_space_group_IT_number 8
_cell_length_a 12.240
_cell_length_b 7.392
_cell_length_c 2.583
_cell_angle_alpha 90.00
_cell_angle_beta 94.62
_cell_angle_gamma 90.00
loop_
_space_group_symop_operation_xyz
'x,y,z'
'x,-y,z'
'x+1/2,y+1/2,z'
'x+1/2,-y+1/2,z'
loop_
_atom_site_label
_atom_site_type_symbol
_atom_site_fract_x
_atom_site_fract_y
_atom_site_fract_z
Fe1 Fe 0.000 0.166 0.000
Fe2 Fe 0.166 0.320 0.839
Fe3 Fe 0.333 0.166 0.683
Ni1 Ni 0.167 0.000 0.336
Pt1 Pt 0.003 0.500 0.320
Pt2 Pt 0.329 0.500 0.360
```